Diffraction record for Li2TiCo3O8. The X-ray powder pattern is simulated, not measured: it uses a GGA+U-relaxed structure and Cu Ka.
No peak broadening, texture or thermal motion is included.

Crystal structure
```
14
Lattice="2.880 1.663 4.665 -2.880 1.663 4.665 0.000 -3.325 4.665" Properties=species:S:1:pos:R:3 pbc="T T T"
Li 0.000 0.000 1.726
Li 0.000 0.000 12.270
Ti 0.000 0.000 6.998
Co -1.440 -0.831 4.665
Co -1.440 0.831 9.331
Co 0.000 1.663 4.665
O 0.000 -1.510 5.732
O -1.308 0.755 5.732
O 0.000 0.000 3.691
O -1.308 -0.755 8.264
O 1.308 0.755 5.732
O 0.000 0.000 10.305
O 1.308 -0.755 8.264
O 0.000 1.510 8.264
```

Main lines, sorted by position (2θ = 10–90°):
- 2θ 18.89, intensity 100
- 2θ 19.02, intensity 56
- 2θ 36.64, intensity 57
- 2θ 36.82, intensity 16
- 2θ 38.32, intensity 13
- 2θ 44.62, intensity 83
- 2θ 59.08, intensity 12
- 2θ 64.75, intensity 25
- 2θ 65.13, intensity 24
- 2θ 68.14, intensity 13

Diffraction record for NaEuNbWO6. The X-ray powder pattern is simulated, not measured: it uses a GGA+U-relaxed structure and Cu Ka.
No peak broadening, texture or thermal motion is included.

Crystal structure
```
10
Lattice="0.000 4.050 4.050 4.050 0.000 4.050 4.050 4.050 0.000" Properties=species:S:1:pos:R:3 pbc="T T T"
Na 0.000 0.000 0.000
Eu 4.050 4.050 4.050
Nb 6.075 6.075 6.075
W 2.025 2.025 2.025
O 6.075 6.075 8.097
O 6.075 8.097 6.075
O 4.054 6.075 6.075
O 8.097 6.075 6.075
O 6.075 4.054 6.075
O 6.075 6.075 4.054
```

Main lines, sorted by position (2θ = 10–90°):
- 2θ 18.98, intensity 29
- 2θ 21.95, intensity 13
- 2θ 31.23, intensity 100
- 2θ 36.80, intensity 17
- 2θ 44.75, intensity 31
- 2θ 49.02, intensity 8
- 2θ 55.58, intensity 40
- 2θ 65.14, intensity 19
- 2θ 74.01, intensity 17
- 2θ 82.50, intensity 6

Diffraction record for MgMo4O10. The X-ray powder pattern is simulated, not measured: it uses a GGA+U-relaxed structure and Cu Ka.
No peak broadening, texture or thermal motion is included.

Crystal structure
```
15
Lattice="3.988 0.000 0.000 -0.019 4.018 0.000 -0.008 -0.010 13.152" Properties=species:S:1:pos:R:3 pbc="T T T"
Mg 0.000 0.000 0.000
Mo 1.581 1.361 4.679
Mo 1.584 1.361 8.479
Mo 1.964 3.405 10.966
Mo 1.975 3.411 2.188
O 1.830 3.364 4.318
O 1.826 3.361 8.837
O 1.895 1.355 2.571
O 1.898 1.358 10.586
O 1.935 1.323 6.576
O 1.975 3.875 0.004
O 3.811 1.355 4.596
O 3.812 1.352 8.556
O 3.944 3.294 1.839
O 3.938 3.311 11.304
```

Main lines, sorted by position (2θ = 10–90°):
- 2θ 13.46, intensity 48
- 2θ 22.29, intensity 100
- 2θ 23.14, intensity 98
- 2θ 26.13, intensity 23
- 2θ 27.12, intensity 32
- 2θ 30.17, intensity 69
- 2θ 41.17, intensity 34
- 2θ 45.13, intensity 27
- 2θ 45.49, intensity 23
- 2θ 53.87, intensity 20

Diffraction record for MgCr4FeO8. The X-ray powder pattern is simulated, not measured: it uses a GGA+U-relaxed structure and Cu Ka.
No peak broadening, texture or thermal motion is included.

Crystal structure
```
14
Lattice="0.000 4.258 4.258 4.258 0.000 4.258 4.258 4.258 0.000" Properties=species:S:1:pos:R:3 pbc="T T T"
Mg 0.000 0.000 0.000
Cr 3.192 3.192 3.192
Cr 5.324 5.324 3.192
Cr 5.324 3.192 5.324
Cr 3.192 5.324 5.324
Fe 6.387 6.387 6.387
O 1.160 1.160 1.160
O 3.098 3.098 1.160
O 3.098 1.160 3.098
O 5.220 3.296 3.296
O 1.160 3.098 3.098
O 3.296 5.220 3.296
O 3.296 3.296 5.220
O 5.220 5.220 5.220
```

Main lines, sorted by position (2θ = 10–90°):
- 2θ 18.04, intensity 32
- 2θ 29.67, intensity 22
- 2θ 34.94, intensity 100
- 2θ 36.55, intensity 9
- 2θ 42.46, intensity 33
- 2θ 52.65, intensity 7
- 2θ 56.12, intensity 38
- 2θ 61.60, intensity 49
- 2θ 72.83, intensity 10
- 2θ 88.11, intensity 16

Diffraction record for MgTiV3O8. The X-ray powder pattern is simulated, not measured: it uses a GGA+U-relaxed structure and Cu Ka.
No peak broadening, texture or thermal motion is included.

Crystal structure
```
13
Lattice="6.211 -1.952 0.000 6.211 1.952 0.000 -1.795 0.000 6.557" Properties=species:S:1:pos:R:3 pbc="T T T"
Mg 0.000 0.000 0.000
Ti 0.385 0.000 4.655
V 2.237 0.000 1.980
V 4.098 0.000 4.375
V 6.027 0.000 2.013
O 0.115 0.000 2.027
O 0.358 0.000 6.409
O 2.152 0.000 4.032
O 4.216 0.000 2.362
O 5.798 0.000 0.053
O 6.215 0.000 4.143
O 7.982 0.000 1.914
O 10.726 0.000 4.585
```

Main lines, sorted by position (2θ = 10–90°):
- 2θ 13.50, intensity 49
- 2θ 14.79, intensity 84
- 2θ 23.98, intensity 100
- 2θ 27.20, intensity 37
- 2θ 28.59, intensity 37
- 2θ 29.33, intensity 34
- 2θ 41.31, intensity 60
- 2θ 43.76, intensity 48
- 2θ 46.53, intensity 59
- 2θ 63.95, intensity 29

Diffraction record for K2MnTlF6. The X-ray powder pattern is simulated, not measured: it uses a GGA+U-relaxed structure and Cu Ka.
No peak broadening, texture or thermal motion is included.

Crystal structure
```
10
Lattice="0.000 4.547 4.547 4.547 0.000 4.547 4.547 4.547 0.000" Properties=species:S:1:pos:R:3 pbc="T T T"
K 2.274 2.274 2.274
K 6.821 6.821 6.821
Mn 0.000 0.000 0.000
Tl 4.547 4.547 4.547
F 4.547 4.547 1.966
F 4.547 1.966 4.547
F 7.129 4.547 4.547
F 1.966 4.547 4.547
F 4.547 7.129 4.547
F 4.547 4.547 7.129
```

Main lines, sorted by position (2θ = 10–90°):
- 2θ 16.89, intensity 29
- 2θ 19.52, intensity 59
- 2θ 27.74, intensity 100
- 2θ 32.66, intensity 31
- 2θ 39.64, intensity 40
- 2θ 43.37, intensity 21
- 2θ 44.55, intensity 25
- 2θ 49.07, intensity 38
- 2θ 57.31, intensity 23
- 2θ 78.74, intensity 21

Diffraction record for Li9Mn2Co5O16. The X-ray powder pattern is simulated, not measured: it uses a GGA+U-relaxed structure and Cu Ka.
No peak broadening, texture or thermal motion is included.

Crystal structure
```
32
Lattice="2.959 0.000 0.000 -0.411 10.090 0.000 -0.215 -3.159 9.678" Properties=species:S:1:pos:R:3 pbc="T T T"
Li 0.000 0.000 0.000
Li -0.513 8.468 4.893
Li -0.290 3.449 4.860
Li -0.359 1.797 9.635
Li 1.138 7.575 0.098
Li 1.073 5.982 4.834
Li 1.199 -0.616 9.620
Li 1.337 0.877 4.861
Li 2.674 0.149 7.374
Mn -0.435 5.206 7.249
Mn 1.159 2.575 7.287
Co 2.596 6.777 2.407
Co -0.121 1.696 2.473
Co 1.302 -2.270 7.266
Co 1.236 4.215 2.465
Co 1.459 -0.775 2.413
O -0.139 3.321 1.379
O -0.067 0.087 3.565
O -0.405 6.830 6.160
O -0.336 3.492 8.303
O 1.177 2.540 3.565
O 0.867 6.138 8.348
O 1.007 7.645 3.516
O 1.145 1.138 8.433
O 1.326 -0.926 6.166
O 1.229 5.923 1.341
O 1.224 4.263 6.162
O 1.540 0.836 1.352
O 2.638 -1.602 8.392
O 2.641 1.881 6.228
O 2.612 5.076 3.547
O 2.554 8.450 1.280
```

Main lines, sorted by position (2θ = 10–90°):
- 2θ 18.33, intensity 100
- 2θ 34.87, intensity 17
- 2θ 36.28, intensity 12
- 2θ 36.51, intensity 12
- 2θ 41.94, intensity 32
- 2θ 44.16, intensity 26
- 2θ 44.33, intensity 26
- 2θ 62.41, intensity 8
- 2θ 62.92, intensity 8
- 2θ 64.91, intensity 9

Diffraction record for MgSiNiO4. The X-ray powder pattern is simulated, not measured: it uses a GGA+U-relaxed structure and Cu Ka.
No peak broadening, texture or thermal motion is included.

Crystal structure
```
28
Lattice="10.231 0.000 0.000 0.000 6.018 0.000 0.000 0.000 4.796" Properties=species:S:1:pos:R:3 pbc="T T T"
Mg 0.000 0.000 0.000
Mg 0.000 3.009 0.000
Mg 5.115 0.000 2.398
Mg 5.115 3.009 2.398
Si 0.965 1.504 2.052
Si 4.150 4.513 4.450
Si 6.081 1.504 0.345
Si 9.265 4.513 2.743
Ni 2.309 4.513 2.362
Ni 2.807 1.504 4.759
Ni 7.424 4.513 0.036
Ni 7.922 1.504 2.434
O 0.553 4.513 3.452
O 0.944 1.504 3.681
O 1.662 0.188 1.318
O 1.662 2.821 1.318
O 3.453 3.197 3.716
O 3.453 5.830 3.716
O 4.172 4.513 1.283
O 4.563 1.504 1.054
O 5.668 4.513 3.742
O 6.059 1.504 3.512
O 6.778 0.188 1.080
O 6.778 2.821 1.080
O 8.568 3.197 3.478
O 8.568 5.830 3.478
O 9.287 4.513 1.114
O 9.678 1.504 1.344
```

Main lines, sorted by position (2θ = 10–90°):
- 2θ 25.29, intensity 100
- 2θ 29.69, intensity 32
- 2θ 32.21, intensity 41
- 2θ 35.58, intensity 98
- 2θ 36.32, intensity 46
- 2θ 51.94, intensity 59
- 2θ 52.30, intensity 20
- 2θ 56.58, intensity 24
- 2θ 61.65, intensity 20
- 2θ 62.62, intensity 25

Diffraction record for LiCrGe2O6. The X-ray powder pattern is simulated, not measured: it uses a GGA+U-relaxed structure and Cu Ka.
No peak broadening, texture or thermal motion is included.

Crystal structure
```
40
Lattice="9.689 0.000 0.000 0.000 8.869 0.000 -1.231 0.000 5.296" Properties=species:S:1:pos:R:3 pbc="T T T"
Li 1.772 0.120 2.454
Li 1.156 4.315 5.103
Li 7.302 4.555 0.194
Li 6.687 8.749 2.842
Cr 1.839 5.843 2.443
Cr 1.223 7.461 5.091
Cr 7.235 1.408 0.205
Cr 6.620 3.026 2.853
Ge -0.489 1.409 4.376
Ge 0.126 3.026 1.728
Ge 4.112 1.380 1.205
Ge 3.496 3.054 3.854
Ge 4.962 5.815 1.443
Ge 4.347 7.489 4.091
Ge 8.332 5.843 3.568
Ge 8.948 7.461 0.920
O 0.899 1.669 0.843
O 0.283 2.765 3.491
O 0.974 4.475 1.291
O 0.359 8.829 3.939
O 0.403 5.928 3.924
O 1.019 7.376 1.276
O 3.236 5.908 0.972
O 2.621 7.396 3.620
O 3.106 1.849 2.607
O 2.491 2.585 5.256
O 2.912 4.654 3.560
O 3.527 8.650 0.912
O 4.931 0.219 4.384
O 5.547 4.215 1.736
O 5.968 6.284 0.041
O 5.353 7.020 2.689
O 5.838 1.474 1.676
O 5.223 2.961 4.324
O 7.440 1.494 4.020
O 8.055 2.941 1.372
O 8.100 0.040 1.357
O 7.484 4.395 4.005
O 8.175 6.104 1.805
O 7.560 7.200 4.453
```

Main lines, sorted by position (2θ = 10–90°):
- 2θ 19.52, intensity 27
- 2θ 20.02, intensity 38
- 2θ 26.54, intensity 43
- 2θ 29.18, intensity 100
- 2θ 30.14, intensity 86
- 2θ 34.90, intensity 45
- 2θ 35.97, intensity 43
- 2θ 54.72, intensity 25
- 2θ 55.59, intensity 27
- 2θ 66.06, intensity 22

Diffraction record for Ba4Sr4CoCu7O24. The X-ray powder pattern is simulated, not measured: it uses a GGA+U-relaxed structure and Cu Ka.
No peak broadening, texture or thermal motion is included.

Crystal structure
```
40
Lattice="5.597 -5.598 0.000 5.597 5.598 0.000 -0.013 0.000 7.921" Properties=species:S:1:pos:R:3 pbc="T T T"
Ba 0.000 0.000 0.000
Ba 2.798 2.810 7.919
Ba 2.798 -2.810 7.919
Ba 5.616 0.000 3.939
Sr 5.633 0.000 0.004
Sr 8.404 2.774 3.932
Sr 8.404 -2.774 3.932
Sr 11.176 0.000 3.933
Co 2.801 0.000 5.905
Cu 2.809 0.000 1.967
Cu 5.607 2.798 1.971
Cu 5.600 2.798 5.924
Cu 5.607 -2.798 1.971
Cu 5.600 -2.798 5.924
Cu 8.406 0.000 1.972
Cu 8.399 0.000 5.927
O 4.207 4.198 2.065
O 1.415 1.395 2.066
O 4.205 4.193 5.831
O 1.438 1.365 5.857
O 5.605 2.858 3.955
O 2.765 0.000 3.993
O 1.415 -1.395 2.066
O 1.438 -1.365 5.857
O 4.165 1.364 5.917
O 4.201 1.396 1.980
O 2.844 0.000 7.852
O 5.597 2.735 7.901
O 4.165 -1.364 5.917
O 4.201 -1.396 1.980
O 6.996 1.406 5.916
O 7.008 1.401 1.981
O 5.597 -2.735 7.901
O 8.333 0.000 7.909
O 4.207 -4.198 2.065
O 4.205 -4.193 5.831
O 6.996 -1.406 5.916
O 7.008 -1.401 1.981
O 5.605 -2.858 3.955
O 8.460 0.000 3.948
```

Main lines, sorted by position (2θ = 10–90°):
- 2θ 22.46, intensity 2
- 2θ 31.97, intensity 100
- 2θ 39.42, intensity 11
- 2θ 45.84, intensity 35
- 2θ 56.97, intensity 32
- 2θ 57.02, intensity 6
- 2θ 66.84, intensity 20
- 2θ 76.01, intensity 14
- 2θ 76.06, intensity 3
- 2θ 84.81, intensity 5